(1)
Computed powder diffraction line list
Compound: CeBeAlPt3
Radiation: Cu Kα
Structure: a DFT-relaxed cell (GGA-PBE, Alexandria)
No peak broadening, texture or thermal motion is included.

Largest 8 diffraction maxima, low angle first, 2θ = 15–90°:
(0 2 1), 2θ = 21.94°, d 4.051, I = 13
(2 2 0), 2θ = 30.12°, d 2.967, I = 100
(0 4 1), 2θ = 34.27°, d 2.616, I = 19
(0 2 2), 2θ = 35.77°, d 2.510, I = 59
(2 0 2), 2θ = 41.96°, d 2.153, I = 40
(2 4 1), 2θ = 43.53°, d 2.079, I = 13
(2 4 2), 2θ = 52.50°, d 1.743, I = 32
(2 2 4), 2θ = 75.79°, d 1.255, I = 18

Structure:
Cell lengths 6.8467, 11.8789, 5.5397 Å; angles 90.00, 90.00, 90.00 degrees
Space group Cmcm (No. 63)
Inequivalent atoms, fractional coordinates:
Ce (0.0000, 0.2109, 0.2500) (multiplicity 4)
Be (0.0000, 0.1064, 0.7500) (multiplicity 4)
Al (0.0000, 0.4948, 0.2500) (multiplicity 4)
Pt (0.0000, 0.2931, 0.7500) (multiplicity 4)
Pt (0.2018, 0.0000, 0.0000) (multiplicity 8)

=====

(2)
Computed powder diffraction line list
Compound: Sc36In5Co13
Radiation: Cu Kα
Structure: a DFT-relaxed cell (GGA-PBE, Alexandria)
No peak broadening, texture or thermal motion is included.

Largest 8 diffraction maxima, low angle first, 2θ = 15–90°:
(0 2 0), 2θ = 20.20°, d 4.396, I = 82
(4 2 -2), 2θ = 34.69°, d 2.586, I = 89
(0 2 6), 2θ = 34.70°, d 2.585, I = 88
(4 2 1), 2θ = 36.88°, d 2.437, I = 35
(5 1 -4), 2θ = 37.67°, d 2.388, I = 100
(4 2 -5), 2θ = 38.15°, d 2.359, I = 80
(0 4 0), 2θ = 41.08°, d 2.197, I = 53
(1 1 10), 2θ = 51.17°, d 1.785, I = 40

Structure:
Cell lengths 12.8150, 8.7893, 19.8999 Å; angles 90.00, 105.47, 90.00 degrees
Space group C2/m (No. 12)
Inequivalent atoms, fractional coordinates:
Sc (0.0398, 0.1997, 0.2740) (multiplicity 8)
Sc (0.0614, 0.5000, 0.1745) (multiplicity 4)
Sc (0.0625, 0.2766, 0.4406) (multiplicity 8)
Sc (0.0793, 0.5000, 0.6792) (multiplicity 4)
Sc (0.0807, 0.0000, 0.6351) (multiplicity 4)
Sc (0.1027, 0.0000, 0.1615) (multiplicity 4)
Sc (0.1039, 0.2146, 0.8961) (multiplicity 8)
Sc (0.1240, 0.2978, 0.0629) (multiplicity 8)
Sc (0.2113, 0.3010, 0.6025) (multiplicity 8)
Sc (0.2125, 0.0000, 0.5082) (multiplicity 4)
Sc (0.2298, 0.2122, 0.7663) (multiplicity 8)
Sc (0.2495, 0.0000, 0.0170) (multiplicity 4)
In (0.0000, 0.0000, 0.0000) (multiplicity 2)
In (0.1656, 0.5000, 0.3346) (multiplicity 4)
In (0.1682, 0.5000, 0.8305) (multiplicity 4)
Co (0.0000, 0.0000, 0.5000) (multiplicity 2)
Co (0.0433, 0.5000, 0.9557) (multiplicity 4)
Co (0.0778, 0.5000, 0.5401) (multiplicity 4)
Co (0.0878, 0.0000, 0.7942) (multiplicity 4)
Co (0.1224, 0.0000, 0.3779) (multiplicity 4)
Co (0.2109, 0.0000, 0.2897) (multiplicity 4)
Co (0.2477, 0.0000, 0.8718) (multiplicity 4)

=====

(3)
Computed powder diffraction line list
Compound: PrDy3Tm8
Radiation: Cu Kα
Structure: a DFT-relaxed cell (GGA-PBE, Alexandria)
No peak broadening, texture or thermal motion is included.

Largest 8 diffraction maxima, low angle first, 2θ = 15–90°:
(3 0 1), 2θ = 28.66°, d 3.114, I = 24
(0 4 0), 2θ = 32.06°, d 2.792, I = 24
(0 2 2), 2θ = 32.93°, d 2.720, I = 100
(3 4 1), 2θ = 43.54°, d 2.079, I = 15
(6 0 0), 2θ = 50.78°, d 1.798, I = 20
(0 6 2), 2θ = 57.71°, d 1.598, I = 20
(6 4 0), 2θ = 61.33°, d 1.512, I = 23
(6 2 2), 2θ = 61.86°, d 1.500, I = 16

Structure:
Cell lengths 10.7860, 11.1660, 6.2299 Å; angles 90.00, 90.00, 90.00 degrees
Space group Imm2 (No. 44)
Inequivalent atoms, fractional coordinates:
Pr (0.0000, 0.0000, 0.0000) (multiplicity 2)
Dy (0.0000, 0.2514, 0.3349) (multiplicity 4)
Dy (0.0000, 0.5000, 0.0001) (multiplicity 2)
Tm (0.1658, 0.5000, 0.5014) (multiplicity 4)
Tm (0.1673, 0.2517, 0.8329) (multiplicity 8)
Tm (0.1682, 0.0000, 0.5016) (multiplicity 4)

=====

(4)
Computed powder diffraction line list
Compound: La3Tl2Cd4
Radiation: Cu Kα
Structure: a DFT-relaxed cell (GGA-PBE, Alexandria)
No peak broadening, texture or thermal motion is included.

Largest 8 diffraction maxima, low angle first, 2θ = 15–90°:
(0 0 3), 2θ = 31.25°, d 2.862, I = 26
(1 1 2), 2θ = 31.37°, d 2.852, I = 60
(4 0 -1), 2θ = 31.50°, d 2.840, I = 82
(3 1 -3), 2θ = 35.03°, d 2.562, I = 100
(0 2 0), 2θ = 35.17°, d 2.552, I = 48
(4 2 -1), 2θ = 47.91°, d 1.899, I = 27
(7 1 -4), 2θ = 60.76°, d 1.524, I = 34
(3 3 -3), 2θ = 63.02°, d 1.475, I = 17

Structure:
Cell lengths 11.5385, 5.1035, 9.6587 Å; angles 90.00, 117.25, 90.00 degrees
Space group C2/m (No. 12)
Inequivalent atoms, fractional coordinates:
La (0.0000, 0.0000, 0.0000) (multiplicity 2)
La (0.1666, 0.5000, 0.6702) (multiplicity 4)
Tl (0.1089, 0.5000, 0.2740) (multiplicity 4)
Cd (0.0726, 0.0000, 0.4103) (multiplicity 4)
Cd (0.2089, 0.5000, 0.0362) (multiplicity 4)

=====

(5)
Computed powder diffraction line list
Compound: RuRh3
Radiation: Cu Kα
Structure: a DFT-relaxed cell (GGA-PBE, Alexandria)
No peak broadening, texture or thermal motion is included.

Largest 8 diffraction maxima, low angle first, 2θ = 15–90°:
(1 1 0), 2θ = 40.76°, d 2.214, I = 100
(0 2 0), 2θ = 47.28°, d 1.923, I = 16
(1 0 2), 2θ = 47.49°, d 1.915, I = 32
(2 0 0), 2θ = 69.27°, d 1.356, I = 25
(1 3 0), 2θ = 83.43°, d 1.159, I = 12
(2 1 2), 2θ = 83.68°, d 1.156, I = 12
(1 1 4), 2θ = 83.80°, d 1.154, I = 12
(2 2 0), 2θ = 88.20°, d 1.108, I = 5

Structure:
Cell lengths 2.7107, 3.8454, 5.4097 Å; angles 90.00, 90.00, 90.00 degrees
Space group Pmmm (No. 47)
Inequivalent atoms, fractional coordinates:
Ru (0.0000, 0.0000, 0.0000) (multiplicity 1)
Rh (0.0000, 0.0000, 0.5000) (multiplicity 1)
Rh (0.5000, 0.5000, 0.2458) (multiplicity 2)

=====

(6)
Computed powder diffraction line list
Compound: Rb3Pu3MnS8
Radiation: Cu Kα
Structure: a DFT-relaxed cell (GGA-PBE, Alexandria)
No peak broadening, texture or thermal motion is included.

Largest 8 diffraction maxima, low angle first, 2θ = 15–90°:
(0 0 2), 2θ = 22.90°, d 3.883, I = 46
(0 2 0), 2θ = 26.52°, d 3.361, I = 27
(2 2 2), 2θ = 27.01°, d 3.301, I = 50
(0 2 2), 2θ = 29.85°, d 2.994, I = 55
(2 2 0), 2θ = 30.09°, d 2.970, I = 100
(2 2 4), 2θ = 40.70°, d 2.217, I = 21
(2 4 2), 2θ = 45.07°, d 2.011, I = 35
(2 2 -2), 2θ = 46.97°, d 1.935, I = 19

Structure:
Cell lengths 7.9133, 8.0436, 8.9983 Å; angles 64.18, 64.11, 60.59 degrees
Space group P-1 (No. 2)
Inequivalent atoms, fractional coordinates:
Rb (0.0000, 0.0000, 0.0000) (multiplicity 1)
Rb (0.0000, 0.5000, 0.0000) (multiplicity 1)
Rb (0.5000, 0.0000, 0.0000) (multiplicity 1)
Pu (0.0000, 0.5000, 0.5000) (multiplicity 1)
Pu (0.5000, 0.0000, 0.5000) (multiplicity 1)
Pu (0.5000, 0.5000, 0.5000) (multiplicity 1)
Mn (0.0000, 0.0000, 0.5000) (multiplicity 1)
S (0.2055, 0.2069, 0.3305) (multiplicity 2)
S (0.2413, 0.7917, 0.6692) (multiplicity 2)
S (0.2426, 0.7125, 0.3042) (multiplicity 2)
S (0.2688, 0.2667, 0.6923) (multiplicity 2)

=====

(7)
Computed powder diffraction line list
Compound: RbBa2GaPt
Radiation: Cu Kα
Structure: a DFT-relaxed cell (GGA-PBE, Alexandria)
No peak broadening, texture or thermal motion is included.

Largest 8 diffraction maxima, low angle first, 2θ = 15–90°:
(0 0 1), 2θ = 17.66°, d 5.021, I = 34
(1 0 1), 2θ = 22.55°, d 3.943, I = 38
(1 1 1), 2θ = 26.59°, d 3.352, I = 33
(2 0 0), 2θ = 28.02°, d 3.184, I = 100
(2 0 1), 2θ = 33.32°, d 2.689, I = 29
(2 2 0), 2θ = 40.05°, d 2.251, I = 38
(2 0 2), 2θ = 46.04°, d 1.972, I = 51
(2 2 2), 2θ = 54.77°, d 1.676, I = 32

Structure:
Cell lengths 6.3681, 6.3681, 5.0215 Å; angles 90.00, 90.00, 90.00 degrees
Space group P4/mmm (No. 123)
Inequivalent atoms, fractional coordinates:
Rb (0.0000, 0.0000, 0.0000) (multiplicity 1)
Ba (0.0000, 0.5000, 0.5000) (multiplicity 2)
Ga (0.5000, 0.5000, 0.0000) (multiplicity 1)
Pt (0.5000, 0.5000, 0.5000) (multiplicity 1)

=====

(8)
Computed powder diffraction line list
Compound: Pr12SmDy7
Radiation: Cu Kα
Structure: a DFT-relaxed cell (GGA-PBE, Alexandria)
No peak broadening, texture or thermal motion is included.

Largest 8 diffraction maxima, low angle first, 2θ = 15–90°:
(1 1 3), 2θ = 28.63°, d 3.118, I = 37
(3 1 2), 2θ = 29.85°, d 2.993, I = 20
(4 1 0), 2θ = 30.80°, d 2.903, I = 100
(0 3 3), 2θ = 33.13°, d 2.704, I = 41
(2 2 3), 2θ = 35.19°, d 2.551, I = 30
(7 -2 3), 2θ = 50.51°, d 1.807, I = 17
(3 6 0), 2θ = 54.80°, d 1.675, I = 16
(4 1 6), 2θ = 63.23°, d 1.471, I = 17

Structure:
Cell lengths 15.3619, 15.3619, 10.2347 Å; angles 90.00, 90.00, 120.00 degrees
Space group R-3 (No. 148, hexagonal axes)
Inequivalent atoms, fractional coordinates:
Pr (0.0434, 0.8443, 0.2517) (multiplicity 18)
Pr (0.0459, 0.7975, 0.5762) (multiplicity 18)
Sm (0.0000, 0.0000, 0.0000) (multiplicity 3)
Dy (0.0000, 0.0000, 0.5000) (multiplicity 3)
Dy (0.0665, 0.8213, 0.9260) (multiplicity 18)

=====

(9)
Computed powder diffraction line list
Compound: Mg2PSe
Radiation: Cu Kα
Structure: a DFT-relaxed cell (GGA-PBE, Alexandria)
No peak broadening, texture or thermal motion is included.

Largest 8 diffraction maxima, low angle first, 2θ = 15–90°:
(1 1 1), 2θ = 24.66°, d 3.610, I = 52
(1 3 0), 2θ = 28.94°, d 3.085, I = 42
(2 2 0), 2θ = 29.42°, d 3.036, I = 37
(2 0 1), 2θ = 30.86°, d 2.897, I = 51
(2 2 1), 2θ = 35.70°, d 2.515, I = 100
(0 0 2), 2θ = 40.16°, d 2.245, I = 39
(3 3 1), 2θ = 49.39°, d 1.845, I = 35
(1 5 1), 2θ = 50.89°, d 1.794, I = 32

Structure:
Cell lengths 7.5852, 10.1305, 4.4903 Å; angles 90.00, 90.00, 90.00 degrees
Space group Cmm2 (No. 35)
Inequivalent atoms, fractional coordinates:
Mg (0.2159, 0.0000, 0.0000) (multiplicity 4)
Mg (0.2500, 0.2500, 0.5041) (multiplicity 4)
P (0.1445, 0.5000, 0.4998) (multiplicity 4)
Se (0.0000, 0.2040, 0.9989) (multiplicity 4)

=====

(10)
Computed powder diffraction line list
Compound: LiAg5
Radiation: Cu Kα
Structure: a DFT-relaxed cell (GGA-PBE, Alexandria)
No peak broadening, texture or thermal motion is included.

Largest 8 diffraction maxima, low angle first, 2θ = 15–90°:
(1 0 1), 2θ = 27.70°, d 3.220, I = 14
(1 1 0), 2θ = 35.69°, d 2.516, I = 26
(0 0 2), 2θ = 37.65°, d 2.389, I = 27
(1 1 1), 2θ = 40.52°, d 2.226, I = 100
(1 1 2), 2θ = 52.84°, d 1.733, I = 16
(3 0 0), 2θ = 64.11°, d 1.453, I = 16
(1 1 3), 2θ = 69.89°, d 1.346, I = 18
(3 0 2), 2θ = 76.79°, d 1.241, I = 19

Structure:
Cell lengths 5.0319, 5.0319, 4.7787 Å; angles 90.00, 90.00, 120.00 degrees
Space group P-62m (No. 189)
Inequivalent atoms, fractional coordinates:
Li (0.0000, 0.0000, 0.0000) (multiplicity 1)
Ag (0.0000, 0.6684, 0.5000) (multiplicity 3)
Ag (0.3333, 0.6667, 0.0000) (multiplicity 2)

=====

(11)
Computed powder diffraction line list
Compound: Li2Ce2ThGe2
Radiation: Cu Kα
Structure: a DFT-relaxed cell (GGA-PBE, Alexandria)
No peak broadening, texture or thermal motion is included.

Largest 8 diffraction maxima, low angle first, 2θ = 15–90°:
(0 0 6), 2θ = 19.57°, d 4.536, I = 22
(1 0 1), 2θ = 23.69°, d 3.756, I = 91
(1 0 7), 2θ = 33.00°, d 2.715, I = 100
(0 1 8), 2θ = 35.45°, d 2.532, I = 61
(1 1 0), 2θ = 41.23°, d 2.190, I = 67
(0 2 7), 2θ = 53.79°, d 1.704, I = 25
(1 1 15), 2θ = 66.98°, d 1.397, I = 22
(2 1 7), 2θ = 69.95°, d 1.345, I = 23

Structure:
Cell lengths 4.3791, 4.3791, 27.2147 Å; angles 90.00, 90.00, 120.00 degrees
Space group R-3m (No. 166, hexagonal axes)
Inequivalent atoms, fractional coordinates:
Li (0.0000, 0.0000, 0.0889) (multiplicity 6)
Ce (0.0000, 0.0000, 0.3573) (multiplicity 6)
Th (0.0000, 0.0000, 0.5000) (multiplicity 3)
Ge (0.0000, 0.0000, 0.2360) (multiplicity 6)

=====

(12)
Computed powder diffraction line list
Compound: Ba2BiAs3Pd4
Radiation: Cu Kα
Structure: a DFT-relaxed cell (GGA-PBE, Alexandria)
No peak broadening, texture or thermal motion is included.

Largest 8 diffraction maxima, low angle first, 2θ = 15–90°:
(1 0 3), 2θ = 31.61°, d 2.830, I = 40
(1 1 2), 2θ = 32.08°, d 2.790, I = 100
(2 0 0), 2θ = 39.02°, d 2.308, I = 60
(1 1 4), 2θ = 43.63°, d 2.075, I = 25
(1 0 5), 2θ = 46.61°, d 1.949, I = 17
(2 1 3), 2θ = 51.05°, d 1.789, I = 22
(2 2 0), 2θ = 56.37°, d 1.632, I = 20
(3 1 2), 2θ = 66.35°, d 1.409, I = 25

Structure:
Cell lengths 4.6164, 4.6164, 10.7476 Å; angles 90.00, 90.00, 90.00 degrees
Space group P-4m2 (No. 115)
Inequivalent atoms, fractional coordinates:
Ba (0.0000, 0.5000, 0.2362) (multiplicity 2)
Bi (0.0000, 0.0000, 0.5000) (multiplicity 1)
As (0.0000, 0.5000, 0.8810) (multiplicity 2)
As (0.5000, 0.5000, 0.5000) (multiplicity 1)
Pd (0.0000, 0.0000, 0.0000) (multiplicity 1)
Pd (0.0000, 0.5000, 0.6413) (multiplicity 2)
Pd (0.5000, 0.5000, 0.0000) (multiplicity 1)